[1]
This entry pairs a crystal structure of NaCuPdSe3 with its simulated powder X-ray diffraction pattern. Radiation: Cu Ka. Structure: the PBE geometry in OQMD.
Peak positions follow from Bragg's law for the DFT cell and can differ from measured ones.

Structure:
a = 10.170 Å, b = 3.829 Å, c = 12.453 Å
α = 90.00°, β = 90.00°, γ = 90.00°
Atoms (fractional coordinates):
1 Na 0.247 0.250 0.002
2 Na 0.253 0.750 0.502
3 Na 0.747 0.250 0.498
4 Na 0.753 0.750 0.998
5 Cu 0.245 0.750 0.198
6 Cu 0.255 0.250 0.698
7 Cu 0.745 0.750 0.302
8 Cu 0.755 0.250 0.802
9 Pd 0.006 0.750 0.749
10 Pd 0.494 0.250 0.249
11 Pd 0.506 0.750 0.751
12 Pd 0.994 0.250 0.251
13 Se 0.030 0.750 0.115
14 Se 0.041 0.250 0.614
15 Se 0.243 0.250 0.315
16 Se 0.257 0.750 0.815
17 Se 0.459 0.750 0.114
18 Se 0.470 0.250 0.615
19 Se 0.530 0.750 0.385
20 Se 0.541 0.250 0.886
21 Se 0.743 0.250 0.185
22 Se 0.757 0.750 0.685
23 Se 0.959 0.750 0.386
24 Se 0.970 0.250 0.885

Largest 10 diffraction maxima, low angle first, 2θ = 10–90°:
- 2θ 14.2, I 100
- 2θ 31.8, I 50
- 2θ 33.0, I 54
- 2θ 35.3, I 52
- 2θ 36.5, I 76
- 2θ 47.0, I 31
- 2θ 47.3, I 24
- 2θ 47.5, I 30
- 2θ 51.4, I 29
- 2θ 60.5, I 21



[2]
This entry pairs a crystal structure of NaCuReSe3 with its simulated powder X-ray diffraction pattern. Radiation: Cu Ka. Structure: the PBE geometry in OQMD.
Peak positions follow from Bragg's law for the DFT cell and can differ from measured ones.

Structure:
a = 7.141 Å, b = 7.141 Å, c = 9.664 Å
α = 90.00°, β = 90.00°, γ = 151.76°
Atoms (fractional coordinates):
1 Na 0.241 0.759 0.750
2 Na 0.759 0.241 0.250
3 Cu 0.456 0.544 0.250
4 Cu 0.544 0.456 0.750
5 Re 0.000 0.000 0.000
6 Re 0.000 0.000 0.500
7 Se 0.078 0.922 0.250
8 Se 0.367 0.633 0.040
9 Se 0.367 0.633 0.460
10 Se 0.633 0.367 0.540
11 Se 0.633 0.367 0.960
12 Se 0.922 0.078 0.750

Largest 10 diffraction maxima, low angle first, 2θ = 10–90°:
- 2θ 12.8, I 100
- 2θ 18.4, I 16
- 2θ 32.2, I 27
- 2θ 33.5, I 21
- 2θ 37.3, I 82
- 2θ 39.5, I 14
- 2θ 43.4, I 18
- 2θ 45.9, I 31
- 2θ 52.5, I 12
- 2θ 56.5, I 11



[3]
This entry pairs a crystal structure of Na3Cu4S4 with its simulated powder X-ray diffraction pattern. Radiation: Cu Ka. Structure: the PBE geometry in OQMD.
Peak positions follow from Bragg's law for the DFT cell and can differ from measured ones.

Structure:
a = 7.212 Å, b = 14.523 Å, c = 3.735 Å
α = 90.00°, β = 90.00°, γ = 90.00°
Atoms (fractional coordinates):
1 Na 0.000 0.000 0.000
2 Na 0.021 0.237 0.500
3 Na 0.479 0.737 0.500
4 Na 0.500 0.500 0.000
5 Na 0.521 0.263 0.500
6 Na 0.979 0.763 0.500
7 Cu 0.079 0.411 0.000
8 Cu 0.171 0.560 0.500
9 Cu 0.329 0.060 0.500
10 Cu 0.421 0.911 0.000
11 Cu 0.579 0.089 0.000
12 Cu 0.671 0.940 0.500
13 Cu 0.829 0.440 0.500
14 Cu 0.921 0.589 0.000
15 S 0.215 0.651 0.000
16 S 0.243 0.908 0.500
17 S 0.257 0.408 0.500
18 S 0.285 0.151 0.000
19 S 0.715 0.849 0.000
20 S 0.743 0.592 0.500
21 S 0.757 0.092 0.500
22 S 0.785 0.349 0.000

Largest 10 diffraction maxima, low angle first, 2θ = 10–90°:
- 2θ 12.2, I 65
- 2θ 13.7, I 100
- 2θ 33.3, I 18
- 2θ 35.1, I 11
- 2θ 36.8, I 61
- 2θ 37.1, I 14
- 2θ 39.4, I 44
- 2θ 46.6, I 22
- 2θ 47.0, I 12
- 2θ 48.8, I 23



[4]
This entry pairs a crystal structure of NaCu2SeS with its simulated powder X-ray diffraction pattern. Radiation: Cu Ka. Structure: the PBE geometry in OQMD.
Peak positions follow from Bragg's law for the DFT cell and can differ from measured ones.

Structure:
a = 3.879 Å, b = 3.879 Å, c = 7.100 Å
α = 90.00°, β = 90.00°, γ = 120.00°
Atoms (fractional coordinates):
1 Na 0.000 0.000 0.000
2 Cu 0.333 0.667 0.585
3 Cu 0.667 0.333 0.350
4 Se 0.667 0.333 0.715
5 S 0.333 0.667 0.256

Largest 10 diffraction maxima, low angle first, 2θ = 10–90°:
- 2θ 12.5, I 100
- 2θ 26.5, I 67
- 2θ 29.4, I 65
- 2θ 36.8, I 83
- 2θ 46.8, I 86
- 2θ 47.0, I 82
- 2θ 48.7, I 20
- 2θ 61.8, I 20
- 2θ 68.5, I 25
- 2θ 87.1, I 39



What did the second record say?
This entry pairs a crystal structure of NaCuReSe3 with its simulated powder X-ray diffraction pattern. Radiation: Cu Ka. Structure: the PBE geometry in OQMD.
Peak positions follow from Bragg's law for the DFT cell and can differ from measured ones.

Structure:
a = 7.141 Å, b = 7.141 Å, c = 9.664 Å
α = 90.00°, β = 90.00°, γ = 151.76°
Atoms (fractional coordinates):
1 Na 0.241 0.759 0.750
2 Na 0.759 0.241 0.250
3 Cu 0.456 0.544 0.250
4 Cu 0.544 0.456 0.750
5 Re 0.000 0.000 0.000
6 Re 0.000 0.000 0.500
7 Se 0.078 0.922 0.250
8 Se 0.367 0.633 0.040
9 Se 0.367 0.633 0.460
10 Se 0.633 0.367 0.540
11 Se 0.633 0.367 0.960
12 Se 0.922 0.078 0.750

Largest 10 diffraction maxima, low angle first, 2θ = 10–90°:
- 2θ 12.8, I 100
- 2θ 18.4, I 16
- 2θ 32.2, I 27
- 2θ 33.5, I 21
- 2θ 37.3, I 82
- 2θ 39.5, I 14
- 2θ 43.4, I 18
- 2θ 45.9, I 31
- 2θ 52.5, I 12
- 2θ 56.5, I 11